# Nd2InBiO6
Simulated powder diffraction line list, Cu Kα X-rays. Input: a cell relaxed with PBE.

Main lines, low angle first (2θ from 10° to 90°):
| 2θ/deg | intensity | index |
| --- | --- | --- |
| 27.9 | 1000 | 1 1 1 |
| 31.7 | 124 | 0 0 2 |
| 32.6 | 337 | 2 0 0 |
| 39.4 | 111 | 1 1 2 |
| 46.1 | 275 | 2 0 2 |
| 46.8 | 183 | 2 2 0 |
| 54.1 | 116 | 1 1 3 |
| 55.3 | 303 | 3 1 1 |

Structure:
a = 5.495 Å, b = 5.495 Å, c = 5.650 Å
α = 90.00°, β = 90.00°, γ = 90.00°
Space group P4mm (No. 99)
Unique sites:
Nd 0.000 0.500 0.000 [2 per cell]
In 0.000 0.000 0.582 [1 per cell]
Bi 0.500 0.500 0.570 [1 per cell]
O 0.000 0.000 0.215 [1 per cell]
O 0.244 0.244 0.762 [4 per cell]
O 0.500 0.500 0.156 [1 per cell]